(1)
Structure and theoretical powder XRD pattern of Sr2HfO4 (a structure optimized by DFT (PBE); a wavelength of 1.5418 Å).

Main lines, by angle (2θ = 15–90°):
| 2theta | I (rel.) | index |
| --- | --- | --- |
| 22.6 | 17 | 1 1 1 |
| 30.2 | 100 | 1 1 3 |
| 30.5 | 61 | 2 0 0 |
| 41.8 | 17 | 1 1 5 |
| 42.9 | 14 | 0 0 6 |
| 43.7 | 30 | 2 2 0 |
| 53.6 | 21 | 2 0 6 |
| 54.1 | 41 | 3 1 3 |
| 62.9 | 16 | 2 2 6 |
| 88.1 | 11 | 5 1 3 |

Structure:
Cell: 5.860 5.860 12.646 Å, 90.00 90.00 90.00°
Space group P4_2/ncm (No. 138, origin choice 2)
Symmetry-distinct sites (fractional):
Sr (0.015, 0.015, 0.149)
Hf (0.000, 0.000, 0.500)
O (0.045, 0.045, 0.663)
O (0.250, 0.250, 0.473)
O (0.250, 0.750, 0.000)

=====

(2)
Structure and theoretical powder XRD pattern of Cr2InAg (a structure optimized by DFT (PBE); a wavelength of 1.5418 Å).

Main lines, by angle (2θ = 15–90°):
| 2theta | I (rel.) | index |
| --- | --- | --- |
| 23.6 | 16 | 1 1 1 |
| 39.0 | 100 | 2 2 0 |
| 46.1 | 8 | 3 1 1 |
| 56.3 | 16 | 4 0 0 |
| 61.9 | 4 | 3 3 1 |
| 70.7 | 31 | 4 2 2 |
| 75.7 | 3 | 5 1 1 |
| 83.8 | 10 | 4 4 0 |
| 88.6 | 3 | 5 3 1 |

Structure:
Cell: 6.531 6.531 6.531 Å, 90.00 90.00 90.00°
Space group F-43m (No. 216)
Symmetry-distinct sites (fractional):
Cr (0.000, 0.000, 0.000)
Cr (0.250, 0.250, 0.250)
In (0.250, 0.250, 0.750)
Ag (0.000, 0.000, 0.500)

=====

(3)
Structure and theoretical powder XRD pattern of TmSc2Ru3 (a structure optimized by DFT (PBE); a wavelength of 1.5418 Å).

Main lines, by angle (2θ = 15–90°):
| 2theta | I (rel.) | index |
| --- | --- | --- |
| 18.3 | 6 | 0 0 2 |
| 28.8 | 12 | 1 0 1 |
| 33.0 | 11 | 1 0 2 |
| 39.0 | 51 | 1 1 0 |
| 39.2 | 100 | 1 0 3 |
| 56.3 | 17 | 2 0 0 |
| 56.8 | 8 | 0 0 6 |
| 70.7 | 33 | 2 1 3 |
| 71.1 | 16 | 1 1 6 |
| 84.1 | 10 | 2 0 6 |

Structure:
Cell: 3.268 3.268 9.721 Å, 90.00 90.00 90.00°
Space group P4/mmm (No. 123)
Symmetry-distinct sites (fractional):
Tm (0.000, 0.000, 0.000)
Sc (0.000, 0.000, 0.338)
Ru (0.500, 0.500, 0.176)
Ru (0.500, 0.500, 0.500)

=====

(4)
Structure and theoretical powder XRD pattern of MgCdTe2 (a structure optimized by DFT (PBE); a wavelength of 1.5418 Å).

Main lines, by angle (2θ = 15–90°):
| 2theta | I (rel.) | index |
| --- | --- | --- |
| 22.1 | 100 | 1 1 0 |
| 23.4 | 63 | 0 0 2 |
| 25.1 | 92 | 1 1 1 |
| 32.5 | 41 | 1 1 2 |
| 38.9 | 91 | 2 0 0 |
| 42.2 | 95 | 1 1 3 |
| 45.9 | 61 | 2 0 2 |
| 58.7 | 34 | 2 2 3 |
| 65.7 | 24 | 1 1 5 |
| 72.6 | 36 | 3 1 3 |

Structure:
Cell: 4.639 8.023 7.595 Å, 90.00 90.00 90.00°
Space group Pmn2_1 (No. 31)
Symmetry-distinct sites (fractional):
Mg (0.000, 0.081, 0.000)
Cd (0.000, 0.414, 0.502)
Te (0.000, 0.077, 0.628)
Te (0.000, 0.412, 0.124)

=====

(5)
Structure and theoretical powder XRD pattern of Ca4CrN4 (a structure optimized by DFT (PBE); a wavelength of 1.5418 Å).

Main lines, by angle (2θ = 15–90°):
| 2theta | I (rel.) | index |
| --- | --- | --- |
| 32.0 | 74 | 0 2 1 |
| 32.2 | 57 | 0 1 3 |
| 32.3 | 38 | 1 1 3 |
| 32.5 | 100 | 1 1 -2 |
| 32.7 | 80 | 2 0 0 |
| 36.3 | 94 | 2 2 1 |
| 36.5 | 97 | 1 -1 2 |
| 39.8 | 69 | -1 1 3 |
| 52.1 | 32 | 1 3 -1 |
| 55.6 | 32 | 3 1 -2 |

Structure:
Cell: 5.916 6.039 8.759 Å, 72.29 79.78 68.25°
Space group P-1 (No. 2)
Symmetry-distinct sites (fractional):
Ca (0.214, 0.431, 0.330)
Ca (0.227, 0.960, 0.115)
Ca (0.266, 0.783, 0.526)
Ca (0.268, 0.514, 0.929)
Cr (0.282, 0.152, 0.746)
N (0.034, 0.289, 0.888)
N (0.104, 0.177, 0.584)
N (0.471, 0.360, 0.696)
N (0.472, 0.840, 0.851)

=====

(6)
Structure and theoretical powder XRD pattern of ThScB8Rh8 (a structure optimized by DFT (PBE); a wavelength of 1.5418 Å).

Main lines, by angle (2θ = 15–90°):
| 2theta | I (rel.) | index |
| --- | --- | --- |
| 16.6 | 21 | 1 0 0 |
| 29.1 | 66 | 1 0 2 |
| 35.7 | 100 | 2 0 1 |
| 39.6 | 99 | 2 1 1 |
| 39.8 | 77 | 1 0 3 |
| 45.0 | 44 | 2 1 2 |
| 54.4 | 23 | 2 2 2 |
| 64.1 | 22 | 3 2 1 |
| 64.3 | 20 | 3 0 3 |
| 70.9 | 30 | 2 2 4 |

Structure:
Cell: 5.339 5.339 7.493 Å, 90.00 90.00 90.00°
Space group P-4m2 (No. 115)
Symmetry-distinct sites (fractional):
Th (0.000, 0.000, 0.000)
Sc (0.500, 0.500, 0.500)
B (0.000, 0.331, 0.353)
B (0.167, 0.500, 0.851)
Rh (0.000, 0.251, 0.642)
Rh (0.252, 0.500, 0.153)

=====

(7)
Structure and theoretical powder XRD pattern of UTcBC (a structure optimized by DFT (PBE); a wavelength of 1.5418 Å).

Main lines, by angle (2θ = 15–90°):
| 2theta | I (rel.) | index |
| --- | --- | --- |
| 27.1 | 82 | 1 0 1 |
| 33.4 | 100 | 0 0 3 |
| 35.3 | 14 | 1 1 0 |
| 37.1 | 57 | 1 1 1 |
| 42.0 | 37 | 1 1 2 |
| 50.8 | 28 | 2 0 0 |
| 52.0 | 17 | 1 0 4 |
| 58.5 | 39 | 1 1 4 |
| 62.1 | 49 | 2 0 3 |
| 84.2 | 17 | 2 2 3 |

Structure:
Cell: 3.598 3.598 8.055 Å, 90.00 90.00 90.00°
Space group P4/nmm (No. 129, origin choice 2)
Symmetry-distinct sites (fractional):
U (0.250, 0.250, 0.164)
Tc (0.250, 0.750, 0.500)
B (0.250, 0.250, 0.681)
C (0.250, 0.250, 0.875)

=====

(8)
Structure and theoretical powder XRD pattern of Pm2Pr4Ho3 (a structure optimized by DFT (PBE); a wavelength of 1.5418 Å).

Main lines, by angle (2θ = 15–90°):
| 2theta | I (rel.) | index |
| --- | --- | --- |
| 28.3 | 46 | 1 0 0 |
| 29.6 | 48 | 0 0 9 |
| 31.3 | 63 | 1 0 4 |
| 32.8 | 100 | 1 0 5 |
| 41.4 | 29 | 0 1 9 |
| 50.1 | 37 | 1 1 0 |
| 55.7 | 31 | 1 0 14 |
| 59.3 | 40 | 1 1 9 |
| 61.2 | 18 | 2 0 5 |
| 82.9 | 14 | 2 1 5 |

Structure:
Cell: 3.6414 3.6414 27.1387 Å, 90.00 90.00 120.00°
Space group P3m1 (No. 156)
Symmetry-distinct sites (fractional):
Pm (0.0000, 0.0000, 0.0000)
Pm (0.0000, 0.0000, 0.2099)
Pr (0.0000, 0.0000, 0.3427)
Pr (0.0000, 0.0000, 0.5559)
Pr (0.3333, 0.6667, 0.6718)
Pr (0.3333, 0.6667, 0.8868)
Ho (0.0000, 0.0000, 0.7791)
Ho (0.3333, 0.6667, 0.1064)
Ho (0.3333, 0.6667, 0.4478)

=====

(9)
Structure and theoretical powder XRD pattern of K5RbTe3 (a structure optimized by DFT (PBE); a wavelength of 1.5418 Å).

Main lines, by angle (2θ = 15–90°):
| 2theta | I (rel.) | index |
| --- | --- | --- |
| 18.6 | 72 | 1 1 -2 |
| 30.5 | 100 | 2 0 -4 |
| 36.0 | 40 | 3 3 0 |
| 43.7 | 18 | 4 0 4 |
| 47.9 | 18 | 1 3 4 |
| 54.3 | 36 | 0 2 6 |
| 57.8 | 12 | 1 5 -2 |
| 66.8 | 13 | 5 5 2 |
| 72.1 | 15 | 2 0 8 |
| 88.3 | 18 | 8 2 -10 |

Structure:
Cell: 18.529 8.282 11.713 Å, 90.00 108.45 90.00°
Space group C2/c (No. 15)
Symmetry-distinct sites (fractional):
K (0.000, 0.247, 0.250)
K (0.167, 0.249, 0.083)
K (0.167, 0.252, 0.584)
Rb (0.000, 0.255, 0.750)
Te (0.000, 0.000, 0.000)
Te (0.169, 0.494, 0.335)

=====

(10)
Structure and theoretical powder XRD pattern of Ho5ErHg4 (a structure optimized by DFT (PBE); a wavelength of 1.5418 Å).

Main lines, by angle (2θ = 15–90°):
| 2theta | I (rel.) | index |
| --- | --- | --- |
| 33.2 | 100 | 1 0 5 |
| 34.7 | 52 | 1 1 0 |
| 36.4 | 12 | 1 0 6 |
| 50.0 | 23 | 2 0 0 |
| 58.2 | 12 | 1 1 10 |
| 61.3 | 35 | 2 1 5 |
| 62.3 | 8 | 1 1 11 |
| 73.3 | 11 | 2 2 0 |
| 82.9 | 8 | 3 0 5 |
| 83.7 | 9 | 3 1 0 |

Structure:
Cell: 3.652 3.652 20.065 Å, 90.00 90.00 90.00°
Space group P4/mmm (No. 123)
Symmetry-distinct sites (fractional):
Ho (0.000, 0.000, 0.000)
Ho (0.000, 0.000, 0.188)
Ho (0.000, 0.000, 0.379)
Er (0.500, 0.500, 0.500)
Hg (0.500, 0.500, 0.095)
Hg (0.500, 0.500, 0.285)

=====

(11)
Structure and theoretical powder XRD pattern of NdOsC (a structure optimized by DFT (PBE); a wavelength of 1.5418 Å).

Main lines, by angle (2θ = 15–90°):
| 2theta | I (rel.) | index |
| --- | --- | --- |
| 29.9 | 36 | 2 0 0 |
| 33.4 | 22 | 0 0 2 |
| 34.5 | 100 | 1 1 1 |
| 36.7 | 8 | 1 0 2 |
| 45.4 | 21 | 2 0 2 |
| 53.4 | 8 | 0 2 0 |
| 56.0 | 25 | 3 1 1 |
| 60.4 | 13 | 1 1 3 |
| 62.4 | 9 | 2 2 0 |
| 72.6 | 11 | 2 2 2 |

Structure:
Cell: 5.981 3.432 5.365 Å, 90.00 90.00 90.00°
Space group Pmma (No. 51)
Symmetry-distinct sites (fractional):
Nd (0.250, 0.000, 0.214)
Os (0.250, 0.500, 0.716)
C (0.000, 0.500, 0.500)

=====

(12)
Structure and theoretical powder XRD pattern of RbBeTl2As2 (a structure optimized by DFT (PBE); a wavelength of 1.5418 Å).

Main lines, by angle (2θ = 15–90°):
| 2theta | I (rel.) | index |
| --- | --- | --- |
| 20.7 | 34 | 1 -1 0 |
| 24.1 | 54 | 1 1 2 |
| 27.6 | 100 | 2 1 0 |
| 29.4 | 33 | 1 0 -2 |
| 30.5 | 71 | 0 1 -2 |
| 30.6 | 33 | -1 1 2 |
| 31.9 | 49 | 1 -2 0 |
| 34.0 | 43 | 2 0 2 |
| 35.9 | 39 | 1 3 1 |
| 36.7 | 32 | 1 2 3 |

Structure:
Cell: 6.832 7.539 7.924 Å, 70.68 77.16 73.73°
Space group P-1 (No. 2)
Symmetry-distinct sites (fractional):
Rb (0.199, 0.167, 0.049)
Be (0.287, 0.509, 0.512)
Tl (0.181, 0.096, 0.579)
Tl (0.427, 0.620, 0.770)
As (0.049, 0.495, 0.338)
As (0.457, 0.751, 0.363)

=====

(13)
Structure and theoretical powder XRD pattern of Li5Pm2Cd12 (a structure optimized by DFT (PBE); a wavelength of 1.5418 Å).

Main lines, by angle (2θ = 15–90°):
| 2theta | I (rel.) | index |
| --- | --- | --- |
| 18.0 | 16 | 1 1 0 |
| 24.2 | 26 | 2 0 2 |
| 28.3 | 29 | 2 1 1 |
| 31.4 | 27 | 3 0 0 |
| 32.3 | 50 | 0 2 4 |
| 36.4 | 21 | 2 2 0 |
| 36.6 | 100 | 3 0 3 |
| 37.1 | 31 | 0 0 6 |
| 41.1 | 27 | 2 2 3 |
| 59.4 | 15 | 3 3 3 |

Structure:
Cell: 9.8627 9.8627 14.5444 Å, 90.00 90.00 120.00°
Space group R-3m (No. 166, hexagonal axes)
Symmetry-distinct sites (fractional):
Li (0.0000, 0.0000, 0.0987)
Li (0.0000, 0.5000, 0.5000)
Pm (0.0000, 0.0000, 0.3450)
Cd (0.0000, 0.2961, 0.0000)
Cd (0.0096, 0.5048, 0.8503)